CePO4: calculated powder XRD pattern (Cu Kα (λ = 1.5418 Å)), based on a structure optimized by DFT (PBE).

Main lines, low angle first (2θ = 15–90°):
- (1 1 0), 2θ 21.68, I 43
- (1 1 -2), 2θ 23.74, I 32
- (0 2 0), 2θ 24.89, I 76
- (0 0 2), 2θ 25.83, I 100
- (0 2 1), 2θ 28.10, I 61
- (2 1 -2), 2θ 30.80, I 97
- (0 2 2), 2θ 36.18, I 30
- (2 1 0), 2θ 38.11, I 39
- (2 1 -4), 2θ 43.02, I 70
- (2 3 -1), 2θ 48.54, I 29

Crystal structure
a b c (Å): 6.4054 7.1544 8.8306
angles (deg): 90.00 128.64 90.00
Space group P2_1/c (No. 14)
Inequivalent atoms, fractional coordinates:
Ce  0.1536  0.1970  0.2586 [4 per cell]
P  0.3292  0.6985  0.2200 [4 per cell]
O  0.1437  0.6307  0.6676 [4 per cell]
O  0.2019  0.5343  0.2534 [4 per cell]
O  0.3314  0.6617  0.0481 [4 per cell]
O  0.3769  0.2332  0.1006 [4 per cell]

***

SrCdBi2: calculated powder XRD pattern (Cu Kα (λ = 1.5418 Å)), based on a structure optimized by DFT (PBE).

Main lines, low angle first (2θ = 15–90°):
- (1 0 3), 2θ 22.10, I 20
- (0 0 6), 2θ 22.85, I 13
- (1 0 5), 2θ 26.92, I 14
- (1 1 2), 2θ 27.93, I 14
- (1 1 4), 2θ 30.97, I 100
- (2 0 0), 2θ 38.32, I 39
- (1 0 9), 2θ 39.68, I 16
- (1 1 8), 2θ 41.17, I 17
- (2 2 0), 2θ 55.31, I 14
- (3 1 4), 2θ 64.75, I 25

Crystal structure
a b c (Å): 4.6978 4.6978 23.3519
angles (deg): 90.00 90.00 90.00
Space group I4/mmm (No. 139)
Inequivalent atoms, fractional coordinates:
Sr  0.0000  0.0000  0.1148 [4 per cell]
Cd  0.0000  0.5000  0.2500 [4 per cell]
Bi  0.0000  0.0000  0.3368 [4 per cell]
Bi  0.0000  0.5000  0.0000 [4 per cell]

***

Ba3Co2N4: calculated powder XRD pattern (Cu Kα (λ = 1.5418 Å)), based on a structure optimized by DFT (PBE).

Main lines, low angle first (2θ = 15–90°):
- (0 3 1), 2θ 27.58, I 93
- (1 2 2), 2θ 28.85, I 30
- (2 1 0), 2θ 30.34, I 45
- (1 0 3), 2θ 30.47, I 100
- (1 1 3), 2θ 31.70, I 98
- (1 3 2), 2θ 34.98, I 68
- (2 2 1), 2θ 35.20, I 50
- (1 2 4), 2θ 42.80, I 20
- (1 3 4), 2θ 47.38, I 22
- (3 2 3), 2θ 55.58, I 23

Crystal structure
a b c (Å): 6.1505 10.2507 10.0140
angles (deg): 90.00 90.00 90.00
Space group Pnna (No. 52)
Inequivalent atoms, fractional coordinates:
Ba  0.1001  0.1573  0.0850 [8 per cell]
Ba  0.2500  0.0000  0.4024 [4 per cell]
Co  0.1493  0.2500  0.7500 [4 per cell]
Co  0.2500  0.0000  0.7339 [4 per cell]
N  0.0217  0.0948  0.8221 [8 per cell]
N  0.1682  0.6444  0.8645 [8 per cell]

***

Na2Mn2S3: calculated powder XRD pattern (Cu Kα (λ = 1.5418 Å)), based on a structure optimized by DFT (PBE).

Main lines, low angle first (2θ = 15–90°):
- (2 2 -1), 2θ 19.66, I 41
- (1 3 -1), 2θ 23.71, I 58
- (2 0 -2), 2θ 25.64, I 53
- (1 3 1), 2θ 27.18, I 37
- (3 3 -1), 2θ 27.31, I 55
- (5 1 0), 2θ 34.20, I 46
- (2 4 1), 2θ 35.89, I 100
- (6 0 -2), 2θ 37.55, I 32
- (0 6 0), 2θ 40.46, I 48
- (3 3 -3), 2θ 44.06, I 87

Crystal structure
a b c (Å): 14.9967 13.3767 6.9490
angles (deg): 90.00 116.98 90.00
Space group C2/c (No. 15)
Inequivalent atoms, fractional coordinates:
Na  0.0000  0.0713  0.2500 [4 per cell]
Na  0.0000  0.2183  0.7500 [4 per cell]
Na  0.0986  0.4134  0.6250 [8 per cell]
Mn  0.1813  0.2358  0.2549 [8 per cell]
Mn  0.2103  0.0740  0.7984 [8 per cell]
S  0.1150  0.3852  0.0480 [8 per cell]
S  0.1385  0.2175  0.5548 [8 per cell]
S  0.1457  0.0752  0.0665 [8 per cell]

***

CsP2H3N: calculated powder XRD pattern (Cu Kα (λ = 1.5418 Å)), based on a structure optimized by DFT (PBE).

Main lines, low angle first (2θ = 15–90°):
- (0 2 1), 2θ 19.29, I 70
- (1 1 1), 2θ 22.76, I 40
- (1 3 0), 2θ 24.20, I 33
- (1 3 -1), 2θ 26.01, I 29
- (0 4 0), 2θ 26.98, I 26
- (1 0 -2), 2θ 27.30, I 26
- (1 1 -2), 2θ 28.14, I 29
- (2 2 -1), 2θ 29.76, I 100
- (1 0 2), 2θ 34.21, I 32
- (2 2 1), 2θ 36.26, I 24

Crystal structure
a b c (Å): 6.9561 13.2202 6.6738
angles (deg): 90.00 106.19 90.00
Space group P2_1/c (No. 14)
Inequivalent atoms, fractional coordinates:
Cs  0.2347  0.1206  0.1884 [4 per cell]
P  0.0007  0.1013  0.6111 [4 per cell]
P  0.2069  0.5237  0.1432 [4 per cell]
H  0.3215  0.7358  0.6418 [4 per cell]
H  0.3536  0.6460  0.4858 [4 per cell]
H  0.4844  0.6467  0.7315 [4 per cell]
N  0.4293  0.6929  0.6057 [4 per cell]

***

Ti2SiC: calculated powder XRD pattern (Cu Kα (λ = 1.5418 Å)), based on a structure optimized by DFT (PBE).

Main lines, low angle first (2θ = 15–90°):
- (1 0 0), 2θ 33.93, I 19
- (1 0 1), 2θ 34.65, I 5
- (1 0 3), 2θ 40.06, I 100
- (0 0 6), 2θ 42.04, I 15
- (1 0 4), 2θ 44.33, I 5
- (1 0 6), 2θ 55.08, I 15
- (1 1 0), 2θ 60.71, I 21
- (2 0 3), 2θ 75.25, I 13
- (1 0 9), 2θ 75.48, I 11
- (1 1 6), 2θ 76.59, I 14

Crystal structure
a b c (Å): 3.0510 3.0510 12.8946
angles (deg): 90.00 90.00 120.00
Space group P6_3/mmc (No. 194)
Inequivalent atoms, fractional coordinates:
Ti  0.3333  0.6667  0.0917 [4 per cell]
Si  0.3333  0.6667  0.7500 [2 per cell]
C  0.0000  0.0000  0.0000 [2 per cell]

***

NdAlCu4: calculated powder XRD pattern (Cu Kα (λ = 1.5418 Å)), based on a structure optimized by DFT (PBE).

Main lines, low angle first (2θ = 15–90°):
- (1 0 1), 2θ 29.30, I 71
- (1 1 0), 2θ 33.58, I 26
- (2 0 0), 2θ 38.96, I 54
- (1 1 1), 2θ 40.46, I 100
- (0 0 2), 2θ 44.70, I 26
- (2 1 1), 2θ 57.42, I 21
- (2 0 2), 2θ 60.77, I 28
- (3 0 1), 2θ 64.71, I 24
- (2 2 0), 2θ 70.57, I 19
- (2 2 2), 2θ 87.51, I 21

Crystal structure
a b c (Å): 5.3383 5.3383 4.0548
angles (deg): 90.00 90.00 120.00
Space group P-6m2 (No. 187)
Inequivalent atoms, fractional coordinates:
Nd  0.0000  0.0000  0.0000 [1 per cell]
Al  0.3333  0.6667  0.0000 [1 per cell]
Cu  0.5010  0.0019  0.5000 [3 per cell]
Cu  0.6667  0.3333  0.0000 [1 per cell]

***

Sm3Ge4Ru2: calculated powder XRD pattern (Cu Kα (λ = 1.5418 Å)), based on a structure optimized by DFT (PBE).

Main lines, low angle first (2θ = 15–90°):
- (3 1 -1), 2θ 32.03, I 58
- (2 0 -3), 2θ 32.89, I 29
- (3 1 0), 2θ 33.03, I 74
- (1 1 2), 2θ 33.85, I 52
- (0 0 3), 2θ 34.26, I 38
- (4 0 -2), 2θ 34.63, I 21
- (4 0 1), 2θ 40.01, I 26
- (0 2 0), 2θ 41.32, I 100
- (0 2 3), 2θ 54.72, I 20
- (7 1 -2), 2θ 63.03, I 21

Crystal structure
a b c (Å): 10.9822 4.3706 8.3107
angles (deg): 90.00 109.11 90.00
Space group C2/m (No. 12)
Inequivalent atoms, fractional coordinates:
Sm  0.0000  0.0000  0.0000 [2 per cell]
Sm  0.1194  0.5000  0.6974 [4 per cell]
Ge  0.0989  0.0000  0.4029 [4 per cell]
Ge  0.2138  0.5000  0.0807 [4 per cell]
Ru  0.1852  0.5000  0.3614 [4 per cell]